Structure and calculated powder diffractogram of TaCo2 (the GGA-PBE geometry in the Materials Project; Cu Kα (weighted mean of Kα1 and Kα2)).
Intensities are scaled so that the largest is 100.

Largest 10 diffraction maxima, by intensity, 10 to 90 degrees two-theta:
d (Å)  2θ (°)  intensity
2.192  41.19  100.0
2.029  44.66  87.4
2.380  37.79  67.1
1.992  45.53  50.0
1.335  70.55  39.9
1.240  76.86  23.7
1.190  80.74  20.2
1.296  73.03  19.7
4.123  21.55  15.5
3.641  24.45  15.2

Structural model:
Lattice parameters (Å, degrees): 4.761 4.761 7.763 90.00 90.00 120.00
Positions (direct):
1 Ta 0.333 0.667 0.066
2 Ta 0.333 0.667 0.434
3 Ta 0.667 0.333 0.566
4 Ta 0.667 0.333 0.934
5 Co 0.000 0.000 0.000
6 Co 0.000 0.000 0.500
7 Co 0.168 0.335 0.750
8 Co 0.168 0.832 0.750
9 Co 0.335 0.168 0.250
10 Co 0.665 0.832 0.750
11 Co 0.832 0.168 0.250
12 Co 0.832 0.665 0.250

=====

Structure and calculated powder diffractogram of UCu2Si2 (the GGA-PBE geometry in the Materials Project; Cu Kα (weighted mean of Kα1 and Kα2)).
Intensities are scaled so that the largest is 100.

Largest 10 diffraction maxima, by intensity, 10 to 90 degrees two-theta:
d (Å)  2θ (°)  intensity
2.439  36.85  100.0
3.670  24.25  68.6
2.559  35.07  56.1
1.970  46.08  34.1
1.561  59.19  25.5
1.797  50.81  22.3
1.210  79.19  21.8
2.524  35.57  19.1
1.736  52.74  18.5
1.553  59.53  17.3

Structural model:
Lattice parameters (Å, degrees): 3.940 3.940 10.097 90.00 90.00 90.00
Positions (direct):
1 U 0.000 0.000 0.000
2 U 0.500 0.500 0.500
3 Cu 0.000 0.500 0.250
4 Cu 0.000 0.500 0.750
5 Cu 0.500 0.000 0.250
6 Cu 0.500 0.000 0.750
7 Si 0.000 0.000 0.383
8 Si 0.000 0.000 0.617
9 Si 0.500 0.500 0.117
10 Si 0.500 0.500 0.883

=====

Structure and calculated powder diffractogram of PrVSb3 (the GGA-PBE geometry in the Materials Project; Cu Kα (weighted mean of Kα1 and Kα2)).
Intensities are scaled so that the largest is 100.

Largest 10 diffraction maxima, by intensity, 10 to 90 degrees two-theta:
d (Å)  2θ (°)  intensity
3.166  28.19  100.0
2.464  36.47  45.5
2.401  37.46  43.0
2.923  30.59  37.9
2.283  39.47  33.4
2.564  34.99  30.9
2.534  35.42  28.9
2.495  35.99  27.4
3.649  24.39  26.6
1.648  55.79  25.0

Structural model:
Lattice parameters (Å, degrees): 10.515 7.932 6.589 90.00 90.00 90.00
Positions (direct):
1 Pr 0.188 0.073 0.250
2 Pr 0.188 0.427 0.750
3 Pr 0.812 0.573 0.250
4 Pr 0.812 0.927 0.750
5 V 0.309 0.750 0.000
6 V 0.309 0.750 0.500
7 V 0.691 0.250 0.000
8 V 0.691 0.250 0.500
9 Sb 0.048 0.750 0.000
10 Sb 0.048 0.750 0.500
11 Sb 0.264 0.026 0.750
12 Sb 0.264 0.474 0.250
13 Sb 0.488 0.228 0.250
14 Sb 0.488 0.272 0.750
15 Sb 0.512 0.728 0.250
16 Sb 0.512 0.772 0.750
17 Sb 0.736 0.526 0.750
18 Sb 0.736 0.974 0.250
19 Sb 0.952 0.250 0.000
20 Sb 0.952 0.250 0.500

=====

Structure and calculated powder diffractogram of La2TlIn (the GGA-PBE geometry in the Materials Project; Cu Kα (weighted mean of Kα1 and Kα2)).
Intensities are scaled so that the largest is 100.

Largest 10 diffraction maxima, by intensity, 10 to 90 degrees two-theta:
d (Å)  2θ (°)  intensity
2.817  31.77  100.0
1.626  56.59  38.7
1.992  45.54  18.5
1.260  75.46  16.5
1.408  66.37  11.9
1.150  84.19  4.2
4.600  19.30  4.2
2.402  37.44  2.5
1.828  49.89  1.2
1.533  60.37  0.9

Structural model:
Lattice parameters (Å, degrees): 7.968 7.968 7.968 90.00 90.00 90.00
Positions (direct):
1 La 0.250 0.250 0.250
2 La 0.250 0.250 0.750
3 La 0.250 0.750 0.250
4 La 0.250 0.750 0.750
5 La 0.750 0.250 0.250
6 La 0.750 0.250 0.750
7 La 0.750 0.750 0.250
8 La 0.750 0.750 0.750
9 Tl 0.000 0.000 0.000
10 Tl 0.000 0.500 0.500
11 Tl 0.500 0.000 0.500
12 Tl 0.500 0.500 0.000
13 In 0.000 0.000 0.500
14 In 0.000 0.500 0.000
15 In 0.500 0.000 0.000
16 In 0.500 0.500 0.500

=====

Copy entry 1 word for word.
Structure and calculated powder diffractogram of TaCo2 (the GGA-PBE geometry in the Materials Project; Cu Kα (weighted mean of Kα1 and Kα2)).
Intensities are scaled so that the largest is 100.

Largest 10 diffraction maxima, by intensity, 10 to 90 degrees two-theta:
d (Å)  2θ (°)  intensity
2.192  41.19  100.0
2.029  44.66  87.4
2.380  37.79  67.1
1.992  45.53  50.0
1.335  70.55  39.9
1.240  76.86  23.7
1.190  80.74  20.2
1.296  73.03  19.7
4.123  21.55  15.5
3.641  24.45  15.2

Structural model:
Lattice parameters (Å, degrees): 4.761 4.761 7.763 90.00 90.00 120.00
Positions (direct):
1 Ta 0.333 0.667 0.066
2 Ta 0.333 0.667 0.434
3 Ta 0.667 0.333 0.566
4 Ta 0.667 0.333 0.934
5 Co 0.000 0.000 0.000
6 Co 0.000 0.000 0.500
7 Co 0.168 0.335 0.750
8 Co 0.168 0.832 0.750
9 Co 0.335 0.168 0.250
10 Co 0.665 0.832 0.750
11 Co 0.832 0.168 0.250
12 Co 0.832 0.665 0.250